Starting from the PBE+U geometry in Alexandria, the X-ray diffraction stick pattern of Na2CoP2O7 was computed for λ = 1.5418 Å (Cu Kα).
Intensities are scaled so that the largest is 100.

Main lines, by intensity (10 to 90 degrees two-theta):
(0 2 1), 16.29°, d 5.442, I = 100; (2 0 -2), 34.18°, d 2.623, I = 77; (0 0 2), 19.86°, d 4.471, I = 72; (0 2 0), 12.91°, d 6.859, I = 54; (1 2 -2), 23.77°, d 3.743, I = 30; (1 2 0), 23.33°, d 3.813, I = 27

Crystal structure
abc: 5.248 13.718 10.232
angles: 90.00 119.09 90.00
Element x y z (fractional)
Na1 0.069 0.107 0.362
Na2 0.069 0.393 0.862
Na3 0.405 0.202 0.139
Na4 0.405 0.298 0.639
Na5 0.595 0.702 0.361
Na6 0.595 0.798 0.861
Na7 0.931 0.607 0.138
Na8 0.931 0.893 0.638
Co1 0.033 0.168 0.734
Co2 0.033 0.332 0.234
Co3 0.967 0.668 0.766
Co4 0.967 0.832 0.266
P1 0.289 0.691 0.553
P2 0.289 0.809 0.053
P3 0.471 0.541 0.768
P4 0.471 0.959 0.268
P5 0.529 0.041 0.732
P6 0.529 0.459 0.232
P7 0.711 0.191 0.947
P8 0.711 0.309 0.447
O1 0.080 0.700 0.384
O2 0.080 0.800 0.884
O3 0.166 0.736 0.648
O4 0.166 0.764 0.148
O5 0.225 0.552 0.809
O6 0.225 0.948 0.309
O7 0.279 0.115 0.642
O8 0.279 0.385 0.142
O9 0.326 0.575 0.591
O10 0.326 0.925 0.091
O11 0.405 0.230 0.907
O12 0.405 0.270 0.407
O13 0.431 0.562 0.227
O14 0.431 0.938 0.727
O15 0.569 0.062 0.273
O16 0.569 0.438 0.773
O17 0.595 0.730 0.593
O18 0.595 0.770 0.093
O19 0.674 0.075 0.909
O20 0.674 0.425 0.409
O21 0.721 0.615 0.858
O22 0.721 0.885 0.358
O23 0.775 0.052 0.691
O24 0.775 0.448 0.191
O25 0.834 0.236 0.852
O26 0.834 0.264 0.352
O27 0.920 0.200 0.116
O28 0.920 0.300 0.616